1.
# Cs2NaCrCl6
Computed PXRD pattern, CuKα. Input: a crystal structure in Alexandria, relaxed with GGA-PBE.
Neutral-atom scattering factors, no anomalous dispersion.

Cell and atoms:
```
Cs2NaCrCl6
1.0
0.0000 5.2277 5.2277
5.2277 0.0000 5.2277
5.2277 5.2277 0.0000
Cs Na Cr Cl
2 1 1 6
Cartesian
2.6138 2.6138 2.6138
7.8415 7.8415 7.8415
0.0000 0.0000 0.0000
5.2277 5.2277 5.2277
5.2277 5.2277 2.8466
5.2277 2.8466 5.2277
7.6087 5.2277 5.2277
2.8466 5.2277 5.2277
5.2277 7.6087 5.2277
5.2277 5.2277 7.6087
```

Main lines, by angle (2θ from 10° to 80°):
- d 5.228, 2θ 17.0, intensity 15
- d 3.697, 2θ 24.1, intensity 100
- d 3.018, 2θ 29.6, intensity 83
- d 2.614, 2θ 34.3, intensity 80
- d 2.134, 2θ 42.4, intensity 42
- d 1.848, 2θ 49.3, intensity 51
- d 1.653, 2θ 55.6, intensity 23
- d 1.576, 2θ 58.6, intensity 29
- d 1.509, 2θ 61.4, intensity 16
- d 1.397, 2θ 67.0, intensity 24

2.
# Cs2NaCrCl6
Computed PXRD pattern, CuKα. Input: a crystal structure in Alexandria, relaxed with GGA-PBE.
Neutral-atom scattering factors, no anomalous dispersion.

Cell and atoms:
```
Cs2NaCrCl6
1.0
7.4100 0.0000 0.0000
-3.7050 6.4172 0.0000
0.0000 0.0000 6.7184
Cs Na Cr Cl
2 1 1 6
Cartesian
0.0000 4.2782 1.9842
3.7050 2.1391 4.7342
0.0000 0.0000 0.0000
0.0000 0.0000 3.3592
0.0000 1.9408 4.7435
-2.0242 5.4469 4.7435
1.6807 0.9704 1.9748
2.0242 5.4469 4.7435
5.7292 0.9704 1.9748
3.7050 4.4765 1.9748
```

Main lines, by angle (2θ from 10° to 80°):
- d 6.718, 2θ 13.2, intensity 23
- d 4.640, 2θ 19.1, intensity 58
- d 3.705, 2θ 24.0, intensity 45
- d 3.359, 2θ 26.5, intensity 17
- d 2.976, 2θ 30.0, intensity 19
- d 2.895, 2θ 30.9, intensity 100
- d 2.320, 2θ 38.8, intensity 41
- d 1.966, 2θ 46.2, intensity 19
- d 1.852, 2θ 49.2, intensity 23
- d 1.836, 2θ 49.6, intensity 18

3.
# CsPrCrCl6
Computed PXRD pattern, CuKα. Input: a crystal structure in Alexandria, relaxed with GGA-PBE.
Neutral-atom scattering factors, no anomalous dispersion.

Cell and atoms:
```
CsPrCrCl6
1.0
-4.7183 5.0146 6.7801
4.7183 -5.0146 6.7801
4.7183 5.0146 -6.7801
Cs Pr Cr Cl
2 2 2 12
Cartesian
0.0000 2.5073 0.5530
4.7183 2.5073 6.2270
4.7183 0.0000 0.0000
0.0000 0.0000 6.7801
2.3591 2.5073 -3.3900
2.3591 -2.5073 3.3900
4.7183 -2.5073 3.8446
2.5764 -0.7125 1.6118
6.8601 -0.7125 1.6118
2.5764 4.3021 -1.6118
2.1419 -0.7125 5.1683
4.7183 2.5073 1.2630
0.0000 2.5073 5.5170
2.5764 5.7271 1.6118
2.1419 0.7125 8.3918
-2.1419 5.7271 5.1683
2.1419 5.7271 5.1683
0.0000 7.5219 2.9355
```

Main lines, by angle (2θ from 10° to 80°):
- d 8.063, 2θ 11.0, intensity 26
- d 6.780, 2θ 13.1, intensity 42
- d 4.209, 2θ 21.1, intensity 100
- d 3.873, 2θ 23.0, intensity 49
- d 3.163, 2θ 28.2, intensity 34
- d 2.753, 2θ 32.5, intensity 22
- d 2.688, 2θ 33.3, intensity 25
- d 2.615, 2θ 34.3, intensity 23
- d 2.359, 2θ 38.1, intensity 22
- d 2.312, 2θ 39.0, intensity 21

4.
# Cs2CrSbCl6
Computed PXRD pattern, CuKα. Input: a crystal structure in Alexandria, relaxed with GGA-PBE.
Neutral-atom scattering factors, no anomalous dispersion.

Cell and atoms:
```
Cs2CrSbCl6
1.0
-3.7249 3.7249 5.6049
3.7249 -3.7249 5.6049
3.7249 3.7249 -5.6049
Cs Cr Sb Cl
2 1 1 6
Cartesian
3.7249 0.0000 2.8024
0.0000 3.7249 2.8024
0.0000 0.0000 0.0000
0.0000 0.0000 5.6049
0.0000 0.0000 2.4044
1.8102 1.8102 0.0000
1.9147 -1.9147 5.6049
-1.9147 1.9147 5.6049
1.9147 1.9147 5.6049
0.0000 0.0000 8.8053
```

Main lines, by angle (2θ from 10° to 80°):
- d 3.839, 2θ 23.2, intensity 100
- d 3.725, 2θ 23.9, intensity 45
- d 3.102, 2θ 28.8, intensity 38
- d 2.802, 2θ 31.9, intensity 32
- d 2.634, 2θ 34.0, intensity 58
- d 2.239, 2θ 40.3, intensity 20
- d 2.172, 2θ 41.6, intensity 43
- d 1.919, 2θ 47.4, intensity 39
- d 1.862, 2θ 48.9, intensity 19
- d 1.551, 2θ 59.6, intensity 19

5.
# Cs3TlCr2Cl8
Computed PXRD pattern, CuKα. Input: a crystal structure in Alexandria, relaxed with GGA-PBE.
Neutral-atom scattering factors, no anomalous dispersion.

Cell and atoms:
```
Cs3TlCr2Cl8
1.0
7.7104 0.0000 0.0000
-3.8552 6.6774 0.0000
0.0000 0.0000 9.9618
Cs Tl Cr Cl
3 1 2 8
Cartesian
0.0000 0.0000 0.0000
0.0000 4.4516 6.2123
3.8552 2.2258 3.7495
0.0000 0.0000 4.9809
0.0000 4.4516 1.9068
3.8552 2.2258 8.0550
0.0000 2.3682 3.0209
-1.8043 5.4933 3.0209
0.0000 4.4516 9.5688
2.0509 1.1841 6.9410
1.8043 5.4933 3.0209
3.8552 2.2258 0.3930
5.6595 1.1841 6.9410
3.8552 4.3093 6.9410
```

Main lines, by angle (2θ from 10° to 80°):
- d 3.993, 2θ 22.3, intensity 64
- d 3.855, 2θ 23.1, intensity 100
- d 3.049, 2θ 29.3, intensity 31
- d 2.973, 2θ 30.1, intensity 20
- d 2.773, 2θ 32.3, intensity 54
- d 2.333, 2θ 38.6, intensity 21
- d 2.251, 2θ 40.1, intensity 26
- d 2.226, 2θ 40.5, intensity 22
- d 1.928, 2θ 47.1, intensity 27
- d 1.772, 2θ 51.6, intensity 23

6.
# CsTl2CrCl8
Computed PXRD pattern, CuKα. Input: a crystal structure in Alexandria, relaxed with GGA-PBE.
Neutral-atom scattering factors, no anomalous dispersion.

Cell and atoms:
```
CsTl2CrCl8
1.0
3.4384 1.9851 9.0685
-3.4384 1.9851 9.0685
0.0000 -3.9703 9.0685
Cs Tl Cr Cl
1 2 1 8
Cartesian
0.0000 0.0000 0.0000
0.0000 0.0000 5.6861
0.0000 0.0000 21.5193
0.0000 0.0000 13.6027
-1.8398 0.5388 12.2910
-1.3865 -1.3239 14.9144
0.0000 0.0000 8.3148
0.4533 -1.8627 12.2910
-0.4533 1.8627 14.9144
0.0000 0.0000 18.8906
1.3865 1.3239 12.2910
1.8398 -0.5388 14.9144
```

Main lines, by angle (2θ from 10° to 80°):
- d 4.481, 2θ 19.8, intensity 83
- d 4.017, 2θ 22.1, intensity 49
- d 3.438, 2θ 25.9, intensity 100
- d 2.909, 2θ 30.7, intensity 27
- d 2.728, 2θ 32.8, intensity 42
- d 2.612, 2θ 34.3, intensity 42
- d 2.475, 2θ 36.3, intensity 36
- d 2.008, 2θ 45.1, intensity 32
- d 1.985, 2θ 45.7, intensity 30
- d 1.734, 2θ 52.8, intensity 30